Record 1
The following is a theoretical X-ray powder pattern of AgAs. It was derived from a structure optimized by DFT (PBE), using CuKα.
Intensities are scaled so that the largest is 100.

Main lines, sorted by position (10° ≤ 2θ ≤ 80°):
- 2θ = 35.14°, rel. 24
- 2θ = 35.75°, rel. 26
- 2θ = 39.59°, rel. 100
- 2θ = 44.62°, rel. 8
- 2θ = 51.00°, rel. 15
- 2θ = 63.05°, rel. 17
- 2θ = 66.81°, rel. 14
- 2θ = 74.64°, rel. 17
- 2θ = 76.07°, rel. 6
- 2θ = 77.06°, rel. 13

Cell and atoms:
a b c (Å): 2.9489 2.9489 10.0463
angles (deg): 90.00 90.00 120.00
Atoms (fractional coordinates):
Ag 0.3333 0.6667 0.1194
Ag 0.6667 0.3333 0.8806
As 0.3333 0.6667 0.6497
As 0.6667 0.3333 0.3503


Record 2
The following is a theoretical X-ray powder pattern of AgAs. It was derived from a structure optimized by DFT (PBE), using CuKα.
Intensities are scaled so that the largest is 100.

Main lines, sorted by position (10° ≤ 2θ ≤ 80°):
- 2θ = 29.40°, rel. 76
- 2θ = 35.81°, rel. 100
- 2θ = 39.24°, rel. 39
- 2θ = 46.99°, rel. 81
- 2θ = 49.78°, rel. 34
- 2θ = 68.90°, rel. 14
- 2θ = 70.09°, rel. 12
- 2θ = 72.79°, rel. 15
- 2θ = 75.89°, rel. 10
- 2θ = 76.64°, rel. 18

Cell and atoms:
a b c (Å): 4.2649 4.2649 4.5917
angles (deg): 90.00 90.00 90.86
Atoms (fractional coordinates):
Ag 0.0000 0.5000 0.0000
Ag 0.5000 0.0000 0.0000
As 0.2079 0.7921 0.5000
As 0.7921 0.2079 0.5000